Structure and computed X-ray powder pattern of Na3SrIr2N2 (a structure optimized by DFT (GGA-PBE); Cu Kα).

Structure:
```
data_Na3SrIr2N2
_space_group_name_H-M_alt 'C 1 2 1'
_space_group_IT_number 5
_cell_length_a 10.7606
_cell_length_b 10.1179
_cell_length_c 3.7532
_cell_angle_alpha 90.00
_cell_angle_beta 107.51
_cell_angle_gamma 90.00
loop_
_space_group_symop_operation_xyz
'x,y,z'
'-x,y,-z'
'x+1/2,y+1/2,z'
'-x+1/2,y+1/2,-z'
loop_
_atom_site_label
_atom_site_type_symbol
_atom_site_fract_x
_atom_site_fract_y
_atom_site_fract_z
_atom_site_occupancy
Na1 Na 0.0000 0.0000 0.0000 1
Na2 Na 0.2244 0.7253 0.4786 1
Sr1 Sr 0.0000 0.4397 0.5000 1
Ir1 Ir 0.2501 0.4760 0.1466 1
N1 N 0.2457 0.9763 0.3505 1
```

The 10 most intense peaks (2θ from 5° to 70°), low angle first:
- 17.28 deg, 5.131 Å, I 56
- 17.53 deg, 5.059 Å, I 100
- 24.71 deg, 3.602 Å, I 28
- 30.13 deg, 2.966 Å, I 38
- 31.29 deg, 2.859 Å, I 23
- 31.52 deg, 2.838 Å, I 34
- 34.97 deg, 2.566 Å, I 26
- 35.49 deg, 2.529 Å, I 23
- 39.41 deg, 2.286 Å, I 44
- 50.70 deg, 1.800 Å, I 22